Starting from a DFT-relaxed cell (GGA+U, Alexandria), the X-ray powder pattern of CrO2 was simulated for copper Kα.

Most intense lines, 10 to 90 degrees two-theta, low angle first:
(1 0 2), 2θ 19.9, I = 95
(2 0 0), 2θ 20.4, I = 100
(0 0 4), 2θ 34.6, I = 30
(3 0 2), 2θ 35.5, I = 40
(1 1 2), 2θ 36.0, I = 72
(2 1 0), 2θ 36.3, I = 30
(2 1 4), 2θ 51.0, I = 34
(4 1 0), 2θ 51.9, I = 29
(1 1 6), 2θ 62.9, I = 18
(4 1 4), 2θ 63.9, I = 29

Cell and atoms:
abc: 8.6940 3.0095 10.3772
angles: 90.00 90.00 90.00
Element x y z (fractional)
1 Cr 0.0688 0.2500 0.1112
2 Cr 0.0737 0.2500 0.6096
3 Cr 0.4263 0.7500 0.1096
4 Cr 0.4312 0.7500 0.6112
5 Cr 0.5688 0.2500 0.3888
6 Cr 0.5737 0.2500 0.8904
7 Cr 0.9263 0.7500 0.3904
8 Cr 0.9312 0.7500 0.8888
9 O 0.0147 0.7500 0.7197
10 O 0.0708 0.2500 0.9289
11 O 0.1095 0.7500 0.4891
12 O 0.2108 0.7500 0.1402
13 O 0.2892 0.2500 0.6402
14 O 0.3905 0.2500 0.9891
15 O 0.4292 0.7500 0.4289
16 O 0.4853 0.2500 0.2197
17 O 0.5147 0.7500 0.7803
18 O 0.5708 0.2500 0.5711
19 O 0.6095 0.7500 0.0109
20 O 0.7108 0.7500 0.3598
21 O 0.7892 0.2500 0.8598
22 O 0.8905 0.2500 0.5109
23 O 0.9292 0.7500 0.0711
24 O 0.9853 0.2500 0.2803